Starting from a crystal structure in Alexandria, relaxed with PBE+U, the powder XRD pattern of KSmSnWO6 was calculated for CuKα.

The 10 most intense peaks (10 to 90 degrees two-theta), by angle:
index	d_spacing	I/Imax
1 1 0	4.247	23.5
2 0 0	3.003	100.0
2 2 0	2.126	20.2
0 0 4	2.119	10.0
3 1 0	1.901	6.6
3 1 2	1.734	40.8
2 2 4	1.501	12.6
4 2 0	1.344	12.4
4 2 4	1.136	14.9
3 1 6	1.134	7.4

Crystal structure
a b c (Å): 6.0121 6.0121 8.4756
angles (deg): 90.00 90.00 90.00
Sites, in units of the cell vectors:
K (0.0000, 0.0000, 0.2500)
K (0.0000, 0.0000, 0.7500)
Sm (0.0000, 0.5000, 0.0000)
Sm (0.5000, 0.0000, 0.5000)
Sn (0.5000, 0.5000, 0.2500)
Sn (0.5000, 0.5000, 0.7500)
W (0.0000, 0.5000, 0.5000)
W (0.5000, 0.0000, 0.0000)
O (0.0000, 0.5000, 0.2704)
O (0.0000, 0.5000, 0.7296)
O (0.2368, 0.2769, 0.5000)
O (0.2368, 0.7231, 0.5000)
O (0.2769, 0.2368, 0.0000)
O (0.2769, 0.7632, 0.0000)
O (0.5000, 0.0000, 0.2296)
O (0.5000, 0.0000, 0.7704)
O (0.7231, 0.2368, 0.0000)
O (0.7231, 0.7632, 0.0000)
O (0.7632, 0.2769, 0.5000)
O (0.7632, 0.7231, 0.5000)